1.
The following is a theoretical powder diffractogram of NaPd3. It was derived from a structure optimized by DFT (PBE), using Cu Kα (weighted mean of Kα1 and Kα2).
Neutral-atom scattering factors, no anomalous dispersion.

Atomic structure:
```
NaPd3
1.0
4.0155 0.0000 0.0000
0.0000 4.0155 0.0000
0.0000 0.0000 8.1181
Na Pd
2 6
Direct
0.0000 0.0000 0.0000
0.5000 0.5000 0.5000
0.0000 0.0000 0.5000
0.0000 0.5000 0.2500
0.0000 0.5000 0.7500
0.5000 0.0000 0.2500
0.5000 0.0000 0.7500
0.5000 0.5000 0.0000
```

Largest 8 diffraction maxima, in order of falling intensity, 10 to 90 degrees two-theta:
- 2θ = 38.70°, intensity 100.0
- 2θ = 45.16°, intensity 32.0
- 2θ = 79.01°, intensity 23.5
- 2θ = 65.38°, intensity 20.5
- 2θ = 24.74°, intensity 18.9
- 2θ = 44.65°, intensity 16.5
- 2θ = 78.27°, intensity 12.1
- 2θ = 83.01°, intensity 10.4

***

2.
The following is a theoretical powder diffractogram of Ba3UFeS6. It was derived from a structure optimized by DFT (PBE), using Cu Kα (weighted mean of Kα1 and Kα2).
Neutral-atom scattering factors, no anomalous dispersion.

Atomic structure:
```
Ba3UFeS6
1.0
6.1018 3.5229 4.4545
-6.1018 3.5229 4.4545
0.0000 -7.0458 4.4545
Ba U Fe S
6 2 2 12
Direct
0.1326 0.7500 0.3674
0.2500 0.6326 0.8674
0.3674 0.1326 0.7500
0.6326 0.8674 0.2500
0.7500 0.3674 0.1326
0.8674 0.2500 0.6326
0.2500 0.2500 0.2500
0.7500 0.7500 0.7500
0.0000 0.0000 0.0000
0.5000 0.5000 0.5000
0.0325 0.9128 0.7031
0.0872 0.2969 0.9675
0.2031 0.4128 0.5325
0.2969 0.9675 0.0872
0.4128 0.5325 0.2031
0.4675 0.7969 0.5873
0.5325 0.2031 0.4128
0.5873 0.4675 0.7969
0.7031 0.0325 0.9128
0.7969 0.5873 0.4675
0.9128 0.7031 0.0325
0.9675 0.0873 0.2969
```

Largest 8 diffraction maxima, in order of falling intensity, 10 to 90 degrees two-theta:
- 2θ = 25.28°, intensity 100.0
- 2θ = 24.75°, intensity 59.4
- 2θ = 21.44°, intensity 47.2
- 2θ = 46.27°, intensity 45.1
- 2θ = 31.24°, intensity 43.9
- 2θ = 31.69°, intensity 42.9
- 2θ = 35.01°, intensity 42.4
- 2θ = 35.67°, intensity 42.3

***

3.
The following is a theoretical powder diffractogram of AgF3. It was derived from a structure optimized by DFT (PBE), using Cu Kα (weighted mean of Kα1 and Kα2).
Neutral-atom scattering factors, no anomalous dispersion.

Atomic structure:
```
AgF3
1.0
5.1955 0.0000 0.0000
-2.5978 4.4995 0.0000
0.0000 0.0000 15.4298
Ag F
6 18
Direct
0.2909 0.5818 0.2500
0.2909 0.7091 0.9167
0.4182 0.7091 0.5833
0.5818 0.2909 0.0833
0.7091 0.2909 0.4167
0.7091 0.4182 0.7500
0.0000 0.2573 0.3333
0.0000 0.7427 0.8333
0.1074 0.4445 0.6643
0.1074 0.6629 0.5023
0.2573 0.0000 0.0000
0.2573 0.2573 0.1667
0.3371 0.4445 0.8357
0.3371 0.8926 0.3310
0.4445 0.1074 0.6690
0.4445 0.3371 0.4977
0.5555 0.6629 0.9977
0.5555 0.8926 0.1690
0.6629 0.1074 0.8310
0.6629 0.5555 0.3357
0.7427 0.0000 0.5000
0.7427 0.7427 0.6667
0.8926 0.3371 0.0023
0.8926 0.5555 0.1643
```

Largest 8 diffraction maxima, in order of falling intensity, 10 to 90 degrees two-theta:
- 2θ = 26.32°, intensity 100.0
- 2θ = 19.73°, intensity 36.1
- 2θ = 49.90°, intensity 21.1
- 2θ = 34.53°, intensity 16.0
- 2θ = 43.93°, intensity 13.6
- 2θ = 45.65°, intensity 12.1
- 2θ = 57.53°, intensity 9.9
- 2θ = 22.88°, intensity 9.4

***

4.
The following is a theoretical powder diffractogram of TlBr. It was derived from a structure optimized by DFT (PBE), using Cu Kα (weighted mean of Kα1 and Kα2).
Neutral-atom scattering factors, no anomalous dispersion.

Atomic structure:
```
TlBr
1.0
4.4734 0.0000 0.0000
0.0000 12.6675 0.0000
0.0000 0.0000 5.0623
Tl Br
4 4
Direct
0.0000 0.1143 0.2500
0.0000 0.8857 0.7500
0.5000 0.3857 0.7500
0.5000 0.6143 0.2500
0.0000 0.3676 0.2500
0.0000 0.6324 0.7500
0.5000 0.1324 0.7500
0.5000 0.8676 0.2500
```

Largest 8 diffraction maxima, in order of falling intensity, 10 to 90 degrees two-theta:
- 2θ = 27.52°, intensity 100.0
- 2θ = 34.15°, intensity 72.0
- 2θ = 28.18°, intensity 47.6
- 2θ = 22.48°, intensity 28.5
- 2θ = 35.46°, intensity 27.7
- 2θ = 45.90°, intensity 25.3
- 2θ = 21.06°, intensity 22.4
- 2θ = 62.72°, intensity 21.3

***

5.
The following is a theoretical powder diffractogram of Ce2SeN2. It was derived from a structure optimized by DFT (PBE), using Cu Kα (weighted mean of Kα1 and Kα2).
Neutral-atom scattering factors, no anomalous dispersion.

Atomic structure:
```
Ce2SeN2
1.0
3.9384 0.0000 0.0000
-1.9692 3.4107 0.0000
0.0000 0.0000 7.0103
Ce Se N
2 1 2
Direct
0.3333 0.6667 0.2969
0.6667 0.3333 0.7031
0.0000 0.0000 0.0000
0.3333 0.6667 0.6249
0.6667 0.3333 0.3751
```

Largest 8 diffraction maxima, in order of falling intensity, 10 to 90 degrees two-theta:
- 2θ = 29.12°, intensity 100.0
- 2θ = 36.77°, intensity 43.3
- 2θ = 46.09°, intensity 32.9
- 2θ = 61.59°, intensity 18.1
- 2θ = 55.45°, intensity 16.6
- 2θ = 74.90°, intensity 13.6
- 2θ = 47.15°, intensity 12.5
- 2θ = 38.53°, intensity 12.3

***

6.
The following is a theoretical powder diffractogram of Mg5Si9. It was derived from a structure optimized by DFT (PBE), using Cu Kα (weighted mean of Kα1 and Kα2).
Neutral-atom scattering factors, no anomalous dispersion.

Atomic structure:
```
Mg5Si9
1.0
6.6762 0.0000 0.0000
2.7929 6.3387 0.0000
3.2153 2.3257 13.0529
Mg Si
10 18
Direct
0.0000 0.0000 0.0000
0.0093 0.3013 0.3277
0.1398 0.7103 0.7969
0.1834 0.4287 0.4790
0.4235 0.8333 0.4027
0.5929 0.3967 0.5604
0.6185 0.8178 0.0340
0.6867 0.1314 0.2283
0.7413 0.9812 0.4643
0.8097 0.4432 0.8660
0.0109 0.2789 0.1179
0.0236 0.0976 0.5239
0.1603 0.7285 0.5839
0.1977 0.3488 0.9416
0.3164 0.5943 0.0857
0.3303 0.0486 0.2035
0.3355 0.6879 0.2392
0.3653 0.1355 0.6729
0.4211 0.7327 0.9086
0.4390 0.0790 0.8437
0.4893 0.7990 0.6180
0.4923 0.2454 0.0442
0.5693 0.4190 0.3550
0.8081 0.0713 0.8337
0.8527 0.6138 0.6639
0.9340 0.6443 0.1482
0.9576 0.7146 0.3116
0.9764 0.2339 0.6779
```

Largest 8 diffraction maxima, in order of falling intensity, 10 to 90 degrees two-theta:
- 2θ = 29.50°, intensity 100.0
- 2θ = 27.50°, intensity 95.9
- 2θ = 30.23°, intensity 83.5
- 2θ = 33.49°, intensity 77.0
- 2θ = 43.11°, intensity 71.1
- 2θ = 33.99°, intensity 69.9
- 2θ = 37.38°, intensity 66.4
- 2θ = 41.96°, intensity 66.3

***

7.
The following is a theoretical powder diffractogram of Ce2YSi2. It was derived from a structure optimized by DFT (PBE), using Cu Kα (weighted mean of Kα1 and Kα2).
Neutral-atom scattering factors, no anomalous dispersion.

Atomic structure:
```
Ce2YSi2
1.0
7.5534 0.0000 0.0000
0.0000 7.5534 0.0000
0.0000 0.0000 4.3064
Ce Y Si
4 2 4
Direct
0.1800 0.3200 0.0000
0.3200 0.8200 0.0000
0.6800 0.1800 0.0000
0.8200 0.6800 0.0000
0.0000 0.0000 0.5000
0.5000 0.5000 0.5000
0.1145 0.6145 0.5000
0.3855 0.1145 0.5000
0.6145 0.8855 0.5000
0.8855 0.3855 0.5000
```

Largest 8 diffraction maxima, in order of falling intensity, 10 to 90 degrees two-theta:
- 2θ = 33.72°, intensity 100.0
- 2θ = 31.51°, intensity 85.1
- 2θ = 26.38°, intensity 42.6
- 2θ = 37.66°, intensity 36.1
- 2θ = 54.43°, intensity 26.9
- 2θ = 55.88°, intensity 24.3
- 2θ = 41.96°, intensity 22.9
- 2θ = 57.64°, intensity 20.5

***

8.
The following is a theoretical powder diffractogram of Li3Sn2P3O12. It was derived from a structure optimized by DFT (PBE), using Cu Kα (weighted mean of Kα1 and Kα2).
Neutral-atom scattering factors, no anomalous dispersion.

Atomic structure:
```
Li3Sn2P3O12
1.0
4.2299 -2.7666 0.0000
4.2299 2.7666 0.0000
-0.0787 0.0000 20.4241
Li Sn P O
6 4 6 24
Direct
0.0065 0.0065 0.1495
0.3328 0.3328 0.2257
0.3357 0.3357 0.9124
0.6643 0.6643 0.0876
0.6672 0.6672 0.7743
0.9935 0.9935 0.8505
0.0000 0.0000 0.0000
0.0000 0.0000 0.5000
0.0011 0.0011 0.3200
0.9989 0.9989 0.6800
0.3471 0.3471 0.7552
0.3576 0.3576 0.3965
0.3590 0.3590 0.0858
0.6410 0.6410 0.9142
0.6424 0.6424 0.6035
0.6529 0.6529 0.2448
0.2351 0.7001 0.3934
0.2395 0.2395 0.1423
0.2405 0.2405 0.6929
0.2415 0.6905 0.7505
0.2478 0.6952 0.0927
0.2488 0.2488 0.3340
0.2532 0.2532 0.8169
0.2711 0.2711 0.4613
0.2824 0.2824 0.0170
0.2999 0.7649 0.6066
0.3048 0.7522 0.9073
0.3095 0.7585 0.2495
0.6905 0.2415 0.7505
0.6952 0.2478 0.0927
0.7001 0.2351 0.3934
0.7176 0.7176 0.9830
0.7289 0.7289 0.5387
0.7468 0.7468 0.1831
0.7512 0.7512 0.6660
0.7522 0.3048 0.9073
0.7585 0.3095 0.2495
0.7595 0.7595 0.3071
0.7605 0.7605 0.8577
0.7649 0.2999 0.6066
```

Largest 8 diffraction maxima, in order of falling intensity, 10 to 90 degrees two-theta:
- 2θ = 32.65°, intensity 100.0
- 2θ = 23.21°, intensity 62.1
- 2θ = 19.17°, intensity 53.0
- 2θ = 35.74°, intensity 51.0
- 2θ = 21.01°, intensity 43.6
- 2θ = 13.00°, intensity 41.5
- 2θ = 32.36°, intensity 36.2
- 2θ = 24.82°, intensity 33.4